# La7Tl2N
Simulated X-ray diffraction stick pattern, Cu Kα, 1.54184 Å. Input: a crystal structure in Alexandria, relaxed with GGA-PBE.
Kinematic intensities with the Lorentz-polarization factor, no thermal factor.

Structure:
a = 7.576 Å, b = 7.576 Å, c = 7.576 Å
α = 60.00°, β = 60.00°, γ = 60.00°
Positions (direct):
La: 0.000 0.000 0.000
La: 0.268 0.268 0.732
La: 0.268 0.732 0.268
La: 0.268 0.732 0.732
La: 0.732 0.268 0.268
La: 0.732 0.268 0.732
La: 0.732 0.732 0.268
Tl: 0.250 0.250 0.250
Tl: 0.750 0.750 0.750
N: 0.500 0.500 0.500

Top 8 peaks for 2θ from 10° to 80°, low angle first:
d [Å]  intensity
3.788  19
3.093  100
2.678  84
2.458  11
1.894  58
1.615  40
1.546  19
1.229  15

---

# PmNd2YHo2
Simulated X-ray diffraction stick pattern, Cu Kα, 1.54184 Å. Input: a crystal structure in Alexandria, relaxed with GGA-PBE.
Kinematic intensities with the Lorentz-polarization factor, no thermal factor.

Structure:
a = 7.078 Å, b = 5.694 Å, c = 9.853 Å
α = 90.00°, β = 90.00°, γ = 90.00°
Positions (direct):
Pm: 0.250 0.000 0.160
Pm: 0.750 0.000 0.840
Nd: 0.000 0.000 0.500
Nd: 0.250 0.500 0.675
Nd: 0.500 0.000 0.500
Nd: 0.750 0.500 0.325
Y: 0.000 0.500 0.000
Y: 0.500 0.500 0.000
Ho: 0.250 0.000 0.831
Ho: 0.250 0.500 0.336
Ho: 0.750 0.000 0.169
Ho: 0.750 0.500 0.664

Top 8 peaks for 2θ from 10° to 80°, low angle first:
d [Å]  intensity
2.875  84
2.846  100
2.218  20
2.022  31
1.648  32
1.643  19
1.503  29
1.204  14

---

# HfBe5Rh
Simulated X-ray diffraction stick pattern, Cu Kα, 1.54184 Å. Input: a crystal structure in Alexandria, relaxed with GGA-PBE.
Kinematic intensities with the Lorentz-polarization factor, no thermal factor.

Structure:
a = 7.305 Å, b = 4.379 Å, c = 9.211 Å
α = 90.00°, β = 90.00°, γ = 90.00°
Positions (direct):
Hf: 0.236 0.250 0.066
Hf: 0.264 0.750 0.566
Hf: 0.736 0.250 0.434
Hf: 0.764 0.750 0.934
Be: 0.040 0.750 0.114
Be: 0.062 0.005 0.315
Be: 0.062 0.495 0.315
Be: 0.083 0.250 0.515
Be: 0.195 0.250 0.749
Be: 0.305 0.750 0.249
Be: 0.417 0.750 0.015
Be: 0.438 0.505 0.815
Be: 0.438 0.995 0.815
Be: 0.460 0.250 0.614
Be: 0.540 0.750 0.386
Be: 0.562 0.005 0.185
Be: 0.562 0.495 0.185
Be: 0.583 0.250 0.985
Be: 0.695 0.250 0.751
Be: 0.805 0.750 0.251
Be: 0.917 0.750 0.485
Be: 0.938 0.505 0.685
Be: 0.938 0.995 0.685
Be: 0.960 0.250 0.886
Rh: 0.139 0.750 0.865
Rh: 0.361 0.250 0.365
Rh: 0.639 0.750 0.635
Rh: 0.861 0.250 0.135

Top 8 peaks for 2θ from 10° to 80°, low angle first:
d [Å]  intensity
3.955  75
3.652  50
3.478  57
2.514  60
2.377  30
2.196  32
2.190  33
2.072  100

---

# LiGa6Br12
Simulated X-ray diffraction stick pattern, Cu Kα, 1.54184 Å. Input: a crystal structure in Alexandria, relaxed with GGA-PBE.
Kinematic intensities with the Lorentz-polarization factor, no thermal factor.

Structure:
a = 6.861 Å, b = 7.679 Å, c = 14.796 Å
α = 87.22°, β = 84.00°, γ = 65.59°
Positions (direct):
Li: 0.000 0.000 0.000
Ga: 0.137 0.429 0.845
Ga: 0.153 0.408 0.669
Ga: 0.261 0.532 0.163
Ga: 0.739 0.468 0.837
Ga: 0.847 0.592 0.331
Ga: 0.863 0.571 0.155
Br: 0.194 0.671 0.603
Br: 0.202 0.870 0.144
Br: 0.232 0.523 0.338
Br: 0.235 0.220 0.974
Br: 0.325 0.649 0.875
Br: 0.379 0.105 0.619
Br: 0.621 0.895 0.381
Br: 0.675 0.351 0.125
Br: 0.765 0.780 0.026
Br: 0.768 0.477 0.662
Br: 0.798 0.130 0.856
Br: 0.806 0.329 0.397

Top 8 peaks for 2θ from 10° to 80°, low angle first:
d [Å]  intensity
6.992  100
3.999  48
3.680  87
3.610  35
3.402  59
3.381  33
3.110  56
2.538  30